[1]
Structure and simulated PXRD pattern of Sc5HgS8 (a structure optimized by DFT (PBE); Cu Ka).
Intensities are scaled so that the largest is 100.

Crystal structure
Unit cell a=19.4605 b=3.7147 c=9.1350 alpha=90.00 beta=105.44 gamma=90.00
Space group Cm (No. 8)
Asymmetric unit:
Sc 0.0000 0.0000 0.0000 [2 per cell]
Sc 0.0476 0.0000 0.3881 [2 per cell]
Sc 0.1408 0.5000 0.7016 [2 per cell]
Sc 0.1886 0.5000 0.0899 [2 per cell]
Sc 0.3442 0.0000 0.0449 [2 per cell]
Hg 0.3456 0.5000 0.5456 [2 per cell]
S 0.0145 0.5000 0.5385 [2 per cell]
S 0.0759 0.5000 0.1921 [2 per cell]
S 0.1125 0.0000 0.8977 [2 per cell]
S 0.1738 0.0000 0.5511 [2 per cell]
S 0.2651 0.0000 0.2343 [2 per cell]
S 0.2650 0.5000 0.8982 [2 per cell]
S 0.4234 0.0000 0.8555 [2 per cell]
S 0.4234 0.5000 0.1914 [2 per cell]

Top 12 peaks for 15° ≤ 2θ ≤ 90°, in order of rising 2θ:
hkl 4 0 -1, 2θ = 18.92°, intensity 93; hkl 0 0 2, 2θ = 20.17°, intensity 49; hkl 4 0 -2, 2θ = 23.75°, intensity 37; hkl 2 0 2, 2θ = 24.47°, intensity 58; hkl 6 0 -2, 2θ = 30.34°, intensity 48; hkl 3 1 1, 2θ = 31.06°, intensity 100; hkl 3 1 -2, 2θ = 32.31°, intensity 62; hkl 1 1 2, 2θ = 32.70°, intensity 40; hkl 3 1 -3, 2θ = 38.74°, intensity 55; hkl 6 0 2, 2θ = 39.53°, intensity 34; hkl 3 1 3, 2θ = 44.69°, intensity 42; hkl 9 1 -1, 2θ = 48.75°, intensity 54

[2]
Structure and simulated PXRD pattern of NdY4Cd (a structure optimized by DFT (PBE); Cu Ka).
Intensities are scaled so that the largest is 100.

Crystal structure
Unit cell a=10.5632 b=6.1418 c=11.8202 alpha=90.00 beta=106.36 gamma=90.00
Space group C2/c (No. 15)
Asymmetric unit:
Nd 0.2500 0.2500 0.0000 [4 per cell]
Y 0.0804 0.2443 0.5030 [8 per cell]
Y 0.1653 0.4159 0.2508 [8 per cell]
Cd 0.0000 0.0756 0.7500 [4 per cell]

Top 12 peaks for 15° ≤ 2θ ≤ 90°, in order of rising 2θ:
hkl 3 1 0, 2θ = 30.17°, intensity 37; hkl 3 1 -2, 2θ = 30.42°, intensity 19; hkl 0 0 4, 2θ = 31.55°, intensity 49; hkl 0 2 2, 2θ = 33.14°, intensity 100; hkl 3 1 -3, 2θ = 33.53°, intensity 47; hkl 3 1 2, 2θ = 37.59°, intensity 10; hkl 3 3 -1, 2θ = 51.65°, intensity 24; hkl 6 0 -2, 2θ = 51.95°, intensity 12; hkl 0 2 6, 2θ = 57.23°, intensity 10; hkl 6 0 2, 2θ = 61.53°, intensity 21; hkl 3 3 -5, 2θ = 62.05°, intensity 13; hkl 6 2 0, 2θ = 62.74°, intensity 15